Ho2Ge2O7: computed X-ray powder pattern (a wavelength of 1.5418 Å), based on a cell relaxed with GGA-PBE.
Kinematic intensities with the Lorentz-polarization factor, no thermal factor.

Peak list (8 most intense, 2θ = 10–90°, most intense first)
30.98°, rel. 100; 51.71°, rel. 46; 61.51°, rel. 42; 35.92°, rel. 32; 84.46°, rel. 17; 87.19°, rel. 15; 15.35°, rel. 14; 39.27°, rel. 11

Atomic structure:
a b c (Å): 7.071 7.071 7.071
angles (deg): 60.00 60.00 60.00
Fractional positions:
Ho (0.000, 0.000, 0.000)
Ho (0.000, 0.000, 0.500)
Ho (0.000, 0.500, 0.000)
Ho (0.500, 0.000, 0.000)
Ge (0.000, 0.500, 0.500)
Ge (0.500, 0.000, 0.500)
Ge (0.500, 0.500, 0.000)
Ge (0.500, 0.500, 0.500)
O (0.125, 0.125, 0.125)
O (0.171, 0.171, 0.579)
O (0.171, 0.579, 0.171)
O (0.171, 0.579, 0.579)
O (0.421, 0.421, 0.829)
O (0.421, 0.829, 0.421)
O (0.421, 0.829, 0.829)
O (0.579, 0.171, 0.171)
O (0.579, 0.171, 0.579)
O (0.579, 0.579, 0.171)
O (0.829, 0.421, 0.421)
O (0.829, 0.421, 0.829)
O (0.829, 0.829, 0.421)
O (0.875, 0.875, 0.875)